# LiCrPHO5
Simulated X-ray diffraction stick pattern, Cu Kα, 1.54184 Å. Input: the GGA+U geometry in Alexandria.
Peak positions follow from Bragg's law for the DFT cell and can differ from measured ones.

Structure:
```
data_LiCrPHO5
_cell_length_a 5.151
_cell_length_b 5.399
_cell_length_c 7.326
_cell_angle_alpha 106.43
_cell_angle_beta 108.93
_cell_angle_gamma 97.98
_symmetry_space_group_name_H-M 'P -1'
_symmetry_Int_Tables_number 2
_symmetry_space_group_name_Hall '-P 1'
loop_
_atom_site_label
_atom_site_type_symbol
_atom_site_fract_x
_atom_site_fract_y
_atom_site_fract_z
Li1 Li 0.243 0.394 0.324
Cr1 Cr 0.500 0.000 0.000
Cr2 Cr 0.500 0.000 0.500
P1 P 0.177 0.359 0.732
H1 H 0.142 0.932 0.156
O1 O 0.132 0.751 0.431
O2 O 0.194 0.656 0.839
O3 O 0.227 0.204 0.882
O4 O 0.340 0.047 0.223
O5 O 0.388 0.339 0.618
```

Peak list (8 most intense, 2θ = 10–90°, low angle first)
Position (°2θ)	d [Å]	I (rel.)	index
17.71	5.008	39	0 1 0
18.56	4.782	37	1 0 -1
18.83	4.713	48	1 0 0
25.76	3.459	32	-1 1 1
26.73	3.335	72	1 0 -2
27.01	3.302	100	0 1 -2
29.13	3.065	86	1 1 0
36.09	2.489	38	1 -2 0